Calculated PXRD pattern of RbMo3P2O14 for copper Kα, from a GGA+U-relaxed structure.

```
RbMo3P2O14
1.0
9.134 0.000 0.000
0.000 6.514 0.000
-3.890 0.000 10.173
Rb Mo P O
2 6 4 28
Cartesian
-0.886 1.629 2.561 Rb
6.129 4.886 7.613 Rb
1.731 4.886 1.780 Mo
0.621 4.886 5.042 Mo
-0.258 1.629 8.959 Mo
5.502 4.886 1.214 Mo
4.623 1.629 5.131 Mo
3.512 1.629 8.393 Mo
1.067 1.629 5.782 P
2.803 1.629 2.021 P
2.441 4.886 8.153 P
4.177 4.886 4.391 P
0.770 4.886 0.368 O
-1.009 4.886 5.549 O
0.337 4.886 3.056 O
-1.260 0.225 8.890 O
-1.260 3.032 8.890 O
1.858 0.399 1.940 O
1.858 2.858 1.940 O
0.798 0.401 4.881 O
0.798 2.856 4.881 O
0.074 1.629 6.959 O
3.516 4.886 1.152 O
3.793 1.629 0.827 O
2.707 4.886 3.908 O
1.640 4.886 6.843 O
3.604 1.629 3.330 O
2.536 1.629 6.265 O
1.451 4.886 9.346 O
1.727 1.629 9.021 O
5.170 4.886 3.214 O
4.446 3.658 5.293 O
4.446 6.113 5.293 O
3.386 3.656 8.233 O
3.386 6.115 8.233 O
6.503 3.482 1.284 O
6.503 6.289 1.284 O
4.907 1.629 7.117 O
6.252 1.629 4.624 O
4.474 1.629 9.806 O
```

The 10 most intense peaks (10 to 90 degrees two-theta), low angle first:
- d = 8.532 Å, 2θ = 10.4°, rel. 36
- d = 4.259 Å, 2θ = 20.9°, rel. 94
- d = 4.009 Å, 2θ = 22.2°, rel. 21
- d = 3.734 Å, 2θ = 23.8°, rel. 96
- d = 3.569 Å, 2θ = 25.0°, rel. 21
- d = 3.391 Å, 2θ = 26.3°, rel. 47
- d = 3.288 Å, 2θ = 27.1°, rel. 51
- d = 3.257 Å, 2θ = 27.4°, rel. 100
- d = 3.008 Å, 2θ = 29.7°, rel. 27
- d = 1.801 Å, 2θ = 50.7°, rel. 23